Record 1
Diffraction record for Sc6Al5Ga. The powder XRD pattern is theoretical, not measured: it uses DFT lattice parameters and positions (GGA-PBE) and Cu Kα X-rays.
No peak broadening, texture or thermal motion is included.

Structure:
```
data_Sc6Al5Ga
_cell_length_a 4.781
_cell_length_b 14.353
_cell_length_c 6.718
_cell_angle_alpha 90.00
_cell_angle_beta 90.00
_cell_angle_gamma 90.00
_symmetry_space_group_name_H-M 'C m m m'
_symmetry_Int_Tables_number 65
_symmetry_space_group_name_Hall '-C 2 2'
loop_
_atom_site_label
_atom_site_type_symbol
_atom_site_fract_x
_atom_site_fract_y
_atom_site_fract_z
Sc1 Sc 0.000 0.000 0.246
Sc2 Sc 0.000 0.335 0.250
Al1 Al 0.000 0.167 0.500
Al2 Al 0.000 0.170 0.000
Al3 Al 0.000 0.500 0.500
Ga1 Ga 0.000 0.500 0.000
```

The 10 most intense peaks (2θ from 10° to 90°), sorted by position:
(0 2 0), 2θ 12.33, d 7.176, I 3; (0 0 1), 2θ 13.18, d 6.718, I 3; (2 0 0), 2θ 37.62, d 2.391, I 51; (1 3 2), 2θ 37.75, d 2.383, I 100; (2 6 0), 2θ 54.25, d 1.691, I 16; (0 0 4), 2θ 54.65, d 1.679, I 8; (3 3 2), 2θ 67.98, d 1.379, I 32; (2 0 4), 2θ 68.24, d 1.374, I 16; (4 0 0), 2θ 80.30, d 1.196, I 5; (2 6 4), 2θ 80.63, d 1.192, I 9

Record 2
Diffraction record for Sc2AlZnGa. The powder XRD pattern is theoretical, not measured: it uses DFT lattice parameters and positions (GGA-PBE) and Cu Kα X-rays.
No peak broadening, texture or thermal motion is included.

Structure:
```
data_Sc2AlZnGa
_cell_length_a 6.696
_cell_length_b 4.225
_cell_length_c 7.019
_cell_angle_alpha 90.00
_cell_angle_beta 106.85
_cell_angle_gamma 90.00
_symmetry_space_group_name_H-M 'P 1 21/m 1'
_symmetry_Int_Tables_number 11
loop_
_symmetry_equiv_pos_as_xyz
'x,y,z'
'-x,-y,-z'
'-x,y+1/2,-z'
'x,-y+1/2,z'
loop_
_atom_site_label
_atom_site_type_symbol
_atom_site_fract_x
_atom_site_fract_y
_atom_site_fract_z
Sc1 Sc 0.042 0.250 0.189
Sc2 Sc 0.389 0.750 0.624
Al1 Al 0.328 0.750 0.175
Zn1 Zn 0.082 0.250 0.586
Ga1 Ga 0.312 0.250 0.940
```

The 10 most intense peaks (2θ from 10° to 90°), sorted by position:
(1 0 -1), 2θ 16.11, d 5.502, I 54; (1 1 0), 2θ 25.25, d 3.528, I 26; (2 1 -1), 2θ 34.58, d 2.594, I 88; (2 1 0), 2θ 35.15, d 2.553, I 29; (1 0 -3), 2θ 38.55, d 2.335, I 39; (2 1 -2), 2θ 39.07, d 2.305, I 41; (1 1 2), 2θ 39.90, d 2.259, I 100; (0 2 0), 2θ 42.80, d 2.113, I 57; (1 1 -3), 2θ 44.33, d 2.043, I 22; (1 2 -3), 2θ 58.95, d 1.567, I 21

Record 3
Diffraction record for Al2GaTeSe. The powder XRD pattern is theoretical, not measured: it uses DFT lattice parameters and positions (GGA-PBE) and Cu Kα X-rays.
No peak broadening, texture or thermal motion is included.

Structure:
```
data_Al2GaTeSe
_cell_length_a 5.181
_cell_length_b 5.181
_cell_length_c 5.542
_cell_angle_alpha 90.00
_cell_angle_beta 90.00
_cell_angle_gamma 90.00
_symmetry_space_group_name_H-M 'P 4/m m m'
_symmetry_Int_Tables_number 123
_symmetry_space_group_name_Hall '-P 4 2'
loop_
_atom_site_label
_atom_site_type_symbol
_atom_site_fract_x
_atom_site_fract_y
_atom_site_fract_z
Al1 Al 0.000 0.500 0.000
Ga1 Ga 0.000 0.000 0.500
Te1 Te 0.500 0.500 0.500
Se1 Se 0.500 0.500 0.000
```

The 10 most intense peaks (2θ from 10° to 90°), sorted by position:
(1 0 0), 2θ 17.12, d 5.181, I 80; (1 1 0), 2θ 24.30, d 3.663, I 100; (1 1 1), 2θ 29.22, d 3.056, I 75; (0 0 2), 2θ 32.31, d 2.771, I 54; (2 0 0), 2θ 34.63, d 2.590, I 89; (1 1 2), 2θ 40.83, d 2.210, I 51; (2 0 2), 2θ 48.08, d 1.892, I 69; (2 2 0), 2θ 49.78, d 1.832, I 31; (2 2 2), 2θ 60.60, d 1.528, I 34; (3 1 2), 2θ 66.27, d 1.410, I 24

Record 4
Diffraction record for Sm3AlGa. The powder XRD pattern is theoretical, not measured: it uses DFT lattice parameters and positions (GGA-PBE) and Cu Kα X-rays.
No peak broadening, texture or thermal motion is included.

Structure:
```
data_Sm3AlGa
_cell_length_a 16.746
_cell_length_b 9.279
_cell_length_c 6.858
_cell_angle_alpha 90.00
_cell_angle_beta 90.00
_cell_angle_gamma 90.00
_symmetry_space_group_name_H-M 'C m c e'
_symmetry_Int_Tables_number 64
_symmetry_space_group_name_Hall '-C 2ac 2'
loop_
_atom_site_label
_atom_site_type_symbol
_atom_site_fract_x
_atom_site_fract_y
_atom_site_fract_z
Sm1 Sm 0.096 0.192 0.000
Sm2 Sm 0.186 0.000 0.500
Al1 Al 0.000 0.000 0.313
Ga1 Ga 0.250 0.250 0.250
```

The 10 most intense peaks (2θ from 10° to 90°), sorted by position:
(0 0 2), 2θ 25.99, d 3.429, I 66; (5 1 1), 2θ 31.24, d 2.863, I 83; (1 3 1), 2θ 32.19, d 2.780, I 100; (4 0 2), 2θ 33.79, d 2.653, I 55; (2 2 2), 2θ 34.24, d 2.619, I 78; (3 3 1), 2θ 35.67, d 2.517, I 34; (6 2 0), 2θ 37.61, d 2.392, I 66; (4 2 2), 2θ 39.12, d 2.303, I 33; (1 3 3), 2θ 49.93, d 1.826, I 32; (5 5 1), 2θ 58.42, d 1.580, I 44

Record 5
Diffraction record for Sm4AlGa3. The powder XRD pattern is theoretical, not measured: it uses DFT lattice parameters and positions (GGA-PBE) and Cu Kα X-rays.
No peak broadening, texture or thermal motion is included.

Structure:
```
data_Sm4AlGa3
_cell_length_a 4.140
_cell_length_b 4.462
_cell_length_c 11.233
_cell_angle_alpha 90.00
_cell_angle_beta 90.00
_cell_angle_gamma 90.00
_symmetry_space_group_name_H-M 'P m m 2'
_symmetry_Int_Tables_number 25
loop_
_symmetry_equiv_pos_as_xyz
'x,y,z'
'-x,-y,z'
'-x,y,z'
'x,-y,z'
loop_
_atom_site_label
_atom_site_type_symbol
_atom_site_fract_x
_atom_site_fract_y
_atom_site_fract_z
Sm1 Sm 0.000 0.000 0.000
Sm2 Sm 0.000 0.500 0.496
Sm3 Sm 0.500 0.000 0.715
Sm4 Sm 0.500 0.500 0.219
Al1 Al 0.000 0.500 0.790
Ga1 Ga 0.000 0.000 0.284
Ga2 Ga 0.500 0.000 0.430
Ga3 Ga 0.500 0.500 0.933
```

The 10 most intense peaks (2θ from 10° to 90°), sorted by position:
(1 0 2), 2θ 26.75, d 3.333, I 32; (1 1 1), 2θ 30.51, d 2.930, I 100; (0 1 3), 2θ 31.18, d 2.868, I 48; (0 0 4), 2θ 31.87, d 2.808, I 26; (1 1 3), 2θ 38.17, d 2.358, I 46; (1 0 4), 2θ 38.75, d 2.324, I 17; (0 2 0), 2θ 40.43, d 2.231, I 25; (2 0 0), 2θ 43.73, d 2.070, I 20; (2 1 3), 2θ 54.68, d 1.679, I 19; (2 2 0), 2θ 61.07, d 1.517, I 15

Repeat the first record exactly.
Diffraction record for Sc6Al5Ga. The powder XRD pattern is theoretical, not measured: it uses DFT lattice parameters and positions (GGA-PBE) and Cu Kα X-rays.
No peak broadening, texture or thermal motion is included.

Structure:
```
data_Sc6Al5Ga
_cell_length_a 4.781
_cell_length_b 14.353
_cell_length_c 6.718
_cell_angle_alpha 90.00
_cell_angle_beta 90.00
_cell_angle_gamma 90.00
_symmetry_space_group_name_H-M 'C m m m'
_symmetry_Int_Tables_number 65
_symmetry_space_group_name_Hall '-C 2 2'
loop_
_atom_site_label
_atom_site_type_symbol
_atom_site_fract_x
_atom_site_fract_y
_atom_site_fract_z
Sc1 Sc 0.000 0.000 0.246
Sc2 Sc 0.000 0.335 0.250
Al1 Al 0.000 0.167 0.500
Al2 Al 0.000 0.170 0.000
Al3 Al 0.000 0.500 0.500
Ga1 Ga 0.000 0.500 0.000
```

The 10 most intense peaks (2θ from 10° to 90°), sorted by position:
(0 2 0), 2θ 12.33, d 7.176, I 3; (0 0 1), 2θ 13.18, d 6.718, I 3; (2 0 0), 2θ 37.62, d 2.391, I 51; (1 3 2), 2θ 37.75, d 2.383, I 100; (2 6 0), 2θ 54.25, d 1.691, I 16; (0 0 4), 2θ 54.65, d 1.679, I 8; (3 3 2), 2θ 67.98, d 1.379, I 32; (2 0 4), 2θ 68.24, d 1.374, I 16; (4 0 0), 2θ 80.30, d 1.196, I 5; (2 6 4), 2θ 80.63, d 1.192, I 9

Copy entry 3 word for word.
Diffraction record for Al2GaTeSe. The powder XRD pattern is theoretical, not measured: it uses DFT lattice parameters and positions (GGA-PBE) and Cu Kα X-rays.
No peak broadening, texture or thermal motion is included.

Structure:
```
data_Al2GaTeSe
_cell_length_a 5.181
_cell_length_b 5.181
_cell_length_c 5.542
_cell_angle_alpha 90.00
_cell_angle_beta 90.00
_cell_angle_gamma 90.00
_symmetry_space_group_name_H-M 'P 4/m m m'
_symmetry_Int_Tables_number 123
_symmetry_space_group_name_Hall '-P 4 2'
loop_
_atom_site_label
_atom_site_type_symbol
_atom_site_fract_x
_atom_site_fract_y
_atom_site_fract_z
Al1 Al 0.000 0.500 0.000
Ga1 Ga 0.000 0.000 0.500
Te1 Te 0.500 0.500 0.500
Se1 Se 0.500 0.500 0.000
```

The 10 most intense peaks (2θ from 10° to 90°), sorted by position:
(1 0 0), 2θ 17.12, d 5.181, I 80; (1 1 0), 2θ 24.30, d 3.663, I 100; (1 1 1), 2θ 29.22, d 3.056, I 75; (0 0 2), 2θ 32.31, d 2.771, I 54; (2 0 0), 2θ 34.63, d 2.590, I 89; (1 1 2), 2θ 40.83, d 2.210, I 51; (2 0 2), 2θ 48.08, d 1.892, I 69; (2 2 0), 2θ 49.78, d 1.832, I 31; (2 2 2), 2θ 60.60, d 1.528, I 34; (3 1 2), 2θ 66.27, d 1.410, I 24